(1)
Starting from a cell relaxed with PBE, the powder diffractogram of LaCe3 was simulated for Cu Kα (λ = 1.5418 Å).
Peak positions follow from Bragg's law for the DFT cell and can differ from measured ones.

Main lines, in order of rising 2θ (2θ from 10° to 80°):
2θ (°), d (Å), I/Imax
32.30, 2.771, 100
37.47, 2.400, 50
54.04, 1.697, 35
64.37, 1.447, 41
67.61, 1.386, 12
79.95, 1.200, 6

Cell lengths 4.8000, 4.8000, 4.8000 Å; angles 90.00, 90.00, 90.00 degrees
Positions (direct):
La  0.0000  0.0000  0.0000
Ce  0.0000  0.5000  0.5000
Ce  0.5000  0.0000  0.5000
Ce  0.5000  0.5000  0.0000

***

(2)
Starting from a cell relaxed with PBE, the powder diffractogram of Sr2TmNbO6 was simulated for Cu Kα (λ = 1.5418 Å).
Peak positions follow from Bragg's law for the DFT cell and can differ from measured ones.

Main lines, in order of rising 2θ (2θ from 10° to 80°):
2θ (°), d (Å), I/Imax
21.23, 4.185, 14
30.09, 2.970, 20
30.23, 2.957, 100
43.20, 2.094, 25
43.32, 2.089, 13
53.52, 1.712, 16
53.70, 1.707, 24
62.84, 1.479, 15

Cell lengths 5.9395, 8.3554, 5.9063 Å; angles 90.00, 90.00, 90.00 degrees
Positions (direct):
Sr  0.0192  0.2484  0.0000
Sr  0.4808  0.7484  0.5000
Sr  0.5192  0.2516  0.5000
Sr  0.9808  0.7516  0.0000
Tm  0.0000  0.0000  0.4994
Tm  0.5000  0.5000  0.9994
Nb  0.0000  0.5000  0.4990
Nb  0.5000  0.0000  0.9990
O  0.0134  0.7397  0.4777
O  0.2306  0.5040  0.7481
O  0.2503  0.4913  0.2700
O  0.2497  0.9913  0.7700
O  0.2694  0.0040  0.2481
O  0.4866  0.2397  0.9777
O  0.5134  0.7603  0.9777
O  0.7306  0.9960  0.2481
O  0.7503  0.0087  0.7700
O  0.7497  0.5087  0.2700
O  0.7694  0.4960  0.7481
O  0.9866  0.2603  0.4777

***

(3)
Starting from a cell relaxed with PBE, the powder diffractogram of Ta3W was simulated for Cu Kα (λ = 1.5418 Å).
Peak positions follow from Bragg's law for the DFT cell and can differ from measured ones.

Main lines, in order of rising 2θ (2θ from 10° to 80°):
2θ (°), d (Å), I/Imax
38.84, 2.318, 100
56.10, 1.639, 17
70.33, 1.339, 36

Cell lengths 4.6370, 4.6370, 4.6370 Å; angles 60.00, 60.00, 60.00 degrees
Positions (direct):
Ta  0.0000  0.0000  0.0000
Ta  0.2500  0.2500  0.2500
Ta  0.7500  0.7500  0.7500
W  0.5000  0.5000  0.5000

***

(4)
Starting from a cell relaxed with PBE, the powder diffractogram of SmUAl4 was simulated for Cu Kα (λ = 1.5418 Å).
Peak positions follow from Bragg's law for the DFT cell and can differ from measured ones.

Main lines, in order of rising 2θ (2θ from 10° to 80°):
2θ (°), d (Å), I/Imax
19.54, 4.543, 73
32.18, 2.782, 100
37.92, 2.372, 96
50.56, 1.805, 20
57.37, 1.606, 40
61.21, 1.514, 32
67.32, 1.391, 20
76.58, 1.244, 18

Cell lengths 5.5639, 5.5639, 5.5639 Å; angles 60.00, 60.00, 60.00 degrees
Positions (direct):
Sm  0.0000  0.0000  0.0000
U  0.7500  0.7500  0.7500
Al  0.3756  0.3756  0.3756
Al  0.3756  0.3756  0.8732
Al  0.3756  0.8732  0.3756
Al  0.8732  0.3756  0.3756

***

(5)
Starting from a cell relaxed with PBE, the powder diffractogram of Fe6BMo6C was simulated for Cu Kα (λ = 1.5418 Å).
Peak positions follow from Bragg's law for the DFT cell and can differ from measured ones.

Main lines, in order of rising 2θ (2θ from 10° to 80°):
2θ (°), d (Å), I/Imax
32.24, 2.776, 19
39.71, 2.270, 26
39.81, 2.264, 25
42.28, 2.138, 100
42.35, 2.134, 18
46.12, 1.968, 11
46.26, 1.962, 47
72.21, 1.308, 27

Cell lengths 7.8522, 7.8522, 7.8522 Å; angles 120.12, 119.83, 90.04 degrees
Positions (direct):
Fe  0.0000  0.0000  0.0000
Fe  0.2979  0.2020  0.0959
Fe  0.2979  0.2020  0.4041
Fe  0.2979  0.8937  0.0959
Fe  0.3939  0.7980  0.5959
Fe  0.5000  0.0000  0.0000
Fe  0.5000  0.0000  0.5000
Fe  0.5000  0.5000  0.5000
Fe  0.6061  0.2020  0.4041
Fe  0.7021  0.1063  0.9041
Fe  0.7021  0.7980  0.5959
Fe  0.7021  0.7980  0.9041
B  0.0000  0.0000  0.5000
B  0.0000  0.5000  0.0000
Mo  0.0810  0.4226  0.2553
Mo  0.0810  0.8257  0.6584
Mo  0.0809  0.8309  0.2500
Mo  0.3273  0.5773  0.7500
Mo  0.3327  0.1743  0.7553
Mo  0.3327  0.5774  0.1584
Mo  0.6673  0.4226  0.8416
Mo  0.6673  0.8257  0.2447
Mo  0.6727  0.4227  0.2500
Mo  0.9191  0.1691  0.7500
Mo  0.9190  0.1743  0.3416
Mo  0.9190  0.5774  0.7447
C  0.0000  0.5000  0.5000
C  0.5000  0.5000  0.0000

***

(6)
Starting from a cell relaxed with PBE, the powder diffractogram of Na6Nb8P5O35 was simulated for Cu Kα (λ = 1.5418 Å).
Peak positions follow from Bragg's law for the DFT cell and can differ from measured ones.

Main lines, in order of rising 2θ (2θ from 10° to 80°):
2θ (°), d (Å), I/Imax
11.63, 7.606, 45
17.44, 5.085, 50
19.58, 4.534, 90
23.36, 3.809, 52
26.31, 3.387, 100
30.25, 2.955, 92
30.68, 2.914, 46
32.99, 2.715, 41

Cell lengths 11.4394, 11.4394, 11.4394 Å; angles 46.70, 46.70, 46.70 degrees
Positions (direct):
Na  0.0000  0.2141  0.7859
Na  0.0813  0.5000  0.9187
Na  0.2141  0.7859  0.0000
Na  0.5000  0.9187  0.0813
Na  0.7859  0.0000  0.2141
Na  0.9187  0.0813  0.5000
Nb  0.2027  0.6796  0.4275
Nb  0.2639  0.2639  0.2639
Nb  0.3204  0.7973  0.5725
Nb  0.4275  0.2027  0.6796
Nb  0.5725  0.3204  0.7973
Nb  0.6796  0.4275  0.2027
Nb  0.7361  0.7361  0.7361
Nb  0.7973  0.5725  0.3204
P  0.0000  0.5601  0.4399
P  0.0955  0.0955  0.0955
P  0.4399  0.0000  0.5601
P  0.5601  0.4399  0.0000
P  0.9045  0.9045  0.9045
O  0.0459  0.0459  0.0459
O  0.0598  0.4254  0.2122
O  0.0663  0.8116  0.7757
O  0.1101  0.3700  0.4522
O  0.1160  0.6577  0.3312
O  0.1884  0.9337  0.2243
O  0.2122  0.0598  0.4254
O  0.2243  0.1884  0.9337
O  0.2472  0.4455  0.6000
O  0.2679  0.7321  0.5000
O  0.3312  0.1160  0.6577
O  0.3423  0.8840  0.6688
O  0.3700  0.4522  0.1101
O  0.4000  0.5545  0.7528
O  0.4254  0.2122  0.0598
O  0.4455  0.6000  0.2472
O  0.4522  0.1101  0.3700
O  0.5000  0.2679  0.7321
O  0.5478  0.6300  0.8899
O  0.5545  0.7528  0.4000
O  0.5746  0.9402  0.7878
O  0.6000  0.2472  0.4455
O  0.6300  0.8899  0.5478
O  0.6577  0.3312  0.1160
O  0.6688  0.3423  0.8840
O  0.7321  0.5000  0.2679
O  0.7528  0.4000  0.5545
O  0.7757  0.0663  0.8116
O  0.7878  0.5746  0.9402
O  0.8116  0.7757  0.0663
O  0.8840  0.6688  0.3423
O  0.8899  0.5478  0.6300
O  0.9337  0.2243  0.1884
O  0.9402  0.7878  0.5746
O  0.9541  0.9541  0.9541